For Cu10Sn3, a structure optimized by DFT (GGA-PBE) gives the theoretical powder diffractogram in this record (Cu Ka).
Peak positions follow from Bragg's law for the DFT cell and can differ from measured ones.

The 12 most intense peaks (2θ from 10° to 90°), low angle first:
- 2θ = 26.63°, I = 11, hkl 1 1 1
- 2θ = 33.17°, I = 10, hkl 1 1 2
- 2θ = 37.18°, I = 8, hkl 2 1 0
- 2θ = 42.08°, I = 92, hkl 1 1 3
- 2θ = 42.38°, I = 100, hkl 3 0 0
- 2θ = 44.50°, I = 17, hkl 2 0 3
- 2θ = 51.24°, I = 10, hkl 1 2 3
- 2θ = 61.26°, I = 23, hkl 2 2 3
- 2θ = 73.88°, I = 11, hkl 3 2 3
- 2θ = 77.32°, I = 18, hkl 1 4 3
- 2θ = 77.53°, I = 11, hkl 3 3 0
- 2θ = 86.79°, I = 18, hkl 3 0 6

Crystal structure
a = 7.388 Å, b = 7.388 Å, c = 7.918 Å
α = 90.00°, β = 90.00°, γ = 120.00°
Fractional coordinates of all 26 atoms:
Cu1 0.000 0.000 0.000
Cu2 0.000 0.000 0.500
Cu3 0.028 0.358 0.084
Cu4 0.028 0.358 0.416
Cu5 0.330 0.972 0.084
Cu6 0.330 0.972 0.416
Cu7 0.333 0.667 0.250
Cu8 0.333 0.667 0.577
Cu9 0.333 0.667 0.923
Cu10 0.358 0.330 0.584
Cu11 0.358 0.330 0.916
Cu12 0.642 0.670 0.084
Cu13 0.642 0.670 0.416
Cu14 0.667 0.333 0.077
Cu15 0.667 0.333 0.423
Cu16 0.667 0.333 0.750
Cu17 0.670 0.028 0.584
Cu18 0.670 0.028 0.916
Cu19 0.972 0.642 0.584
Cu20 0.972 0.642 0.916
Sn1 0.023 0.316 0.750
Sn2 0.293 0.977 0.750
Sn3 0.316 0.293 0.250
Sn4 0.684 0.707 0.750
Sn5 0.707 0.023 0.250
Sn6 0.977 0.684 0.250